Calculated X-ray diffraction stick pattern of Na6FeS4O16 for λ = 1.5418 Å (Cu Kα), from a crystal structure in the Materials Project, relaxed with GGA+U.

Atomic structure:
Lattice parameters (Å, degrees): 9.935 9.385 8.387 90.00 113.63 90.00
Space group P2_1/c (No. 14)
One atom of each set of equivalent atoms:
Na1 0.053 0.151 0.411
Na2 0.189 0.015 0.032
Na3 0.390 0.637 0.316
Fe1 0.500 0.000 0.500
S1 0.162 0.647 0.846
S2 0.359 0.194 0.775
O1 0.037 0.603 0.682
O2 0.146 0.585 0.000
O3 0.170 0.694 0.359
O4 0.211 0.245 0.179
O5 0.300 0.594 0.831
O6 0.364 0.104 0.923
O7 0.405 0.106 0.659
O8 0.470 0.186 0.344

Largest 10 diffraction maxima, in order of rising 2θ, 2θ from 5° to 70°:
hkl 1 0 0, 9.72°, I 45
hkl 0 1 1, 14.90°, I 49
hkl 2 1 0, 21.70°, I 77
hkl 0 2 1, 22.20°, I 37
hkl 2 1 -2, 25.43°, I 93
hkl 2 1 1, 28.15°, I 100
hkl 3 0 -2, 29.30°, I 57
hkl 0 2 2, 30.06°, I 76
hkl 1 3 -1, 30.94°, I 49
hkl 2 3 -1, 34.08°, I 51

***

Calculated X-ray diffraction stick pattern of K2NaFeF6 for λ = 1.5418 Å (Cu Kα), from a crystal structure in the Materials Project, relaxed with GGA+U.

Atomic structure:
Lattice parameters (Å, degrees): 8.457 8.457 8.457 90.00 90.00 90.00
Space group Fm-3m (No. 225)
One atom of each set of equivalent atoms:
K1 0.250 0.250 0.250
Na1 0.000 0.000 0.000
Fe1 0.000 0.000 0.500
F1 0.000 0.000 0.268

Largest 10 diffraction maxima, in order of rising 2θ, 2θ from 5° to 70°:
hkl 1 1 1, 18.17°, I 35
hkl 2 0 0, 21.01°, I 14
hkl 2 2 0, 29.88°, I 100
hkl 3 1 1, 35.19°, I 7
hkl 2 2 2, 36.81°, I 29
hkl 4 0 0, 42.77°, I 83
hkl 4 2 2, 53.05°, I 34
hkl 5 1 1, 56.54°, I 7
hkl 4 4 0, 62.08°, I 44
hkl 5 3 1, 65.27°, I 5

***

Calculated X-ray diffraction stick pattern of Li4MnV3P8O28 for λ = 1.5418 Å (Cu Kα), from a crystal structure in the Materials Project, relaxed with GGA+U.

Atomic structure:
Lattice parameters (Å, degrees): 7.061 8.311 9.752 89.70 71.22 89.47
Space group P1 (No. 1)
One atom of each set of equivalent atoms:
Li1 0.000 0.000 0.000
Li2 0.001 0.000 0.500
Li3 0.649 0.500 0.176
Li4 0.651 0.501 0.674
Mn1 0.056 0.637 0.480
V1 0.053 0.638 0.981
V2 0.596 0.137 0.196
V3 0.596 0.137 0.695
P1 0.237 0.421 0.196
P2 0.237 0.423 0.695
P3 0.411 0.922 0.981
P4 0.411 0.924 0.482
P5 0.802 0.817 0.289
P6 0.802 0.818 0.788
P7 0.844 0.318 0.389
P8 0.846 0.319 0.888
O1 0.076 0.292 0.291
O2 0.077 0.292 0.790
O3 0.176 0.463 0.063
O4 0.178 0.463 0.561
O5 0.211 0.835 0.021
O6 0.211 0.839 0.524
O7 0.239 0.571 0.787
O8 0.240 0.571 0.288
O9 0.408 0.071 0.888
O10 0.410 0.073 0.388
O11 0.437 0.334 0.655
O12 0.438 0.334 0.154
O13 0.473 0.963 0.113
O14 0.476 0.964 0.612
O15 0.572 0.792 0.386
O16 0.573 0.792 0.886
O17 0.719 0.316 0.787
O18 0.720 0.314 0.285
O19 0.808 0.175 0.494
O20 0.808 0.177 0.995
O21 0.818 0.981 0.712
O22 0.819 0.980 0.212
O23 0.823 0.480 0.465
O24 0.831 0.481 0.965
O25 0.842 0.676 0.182
O26 0.843 0.675 0.682
O27 0.929 0.815 0.890
O28 0.932 0.814 0.389

Largest 10 diffraction maxima, in order of rising 2θ, 2θ from 5° to 70°:
hkl 1 1 0, 16.96°, I 100
hkl 1 -1 0, 17.09°, I 98
hkl 0 1 -2, 22.03°, I 41
hkl 1 1 2, 22.22°, I 46
hkl 1 -1 2, 22.37°, I 48
hkl 1 0 -2, 26.77°, I 43
hkl -1 1 2, 28.89°, I 69
hkl 1 2 2, 29.01°, I 58
hkl 1 -2 2, 29.24°, I 56
hkl 2 1 2, 29.42°, I 28

***

Calculated X-ray diffraction stick pattern of Sr4Fe4O13 for λ = 1.5418 Å (Cu Kα), from a crystal structure in the Materials Project, relaxed with GGA+U.

Atomic structure:
Lattice parameters (Å, degrees): 10.330 22.160 5.041 90.00 90.00 90.00
Space group Iba2 (No. 45)
One atom of each set of equivalent atoms:
Sr1 0.126 0.162 0.000
Sr2 0.128 0.350 0.008
Fe1 0.102 0.048 0.535
Fe2 0.133 0.465 0.571
O1 0.000 0.500 0.302
O2 0.056 0.255 0.278
O3 0.086 0.044 0.934
O4 0.116 0.133 0.505
O5 0.124 0.382 0.506
O6 0.191 0.255 0.280
O7 0.217 0.461 0.938

Largest 10 diffraction maxima, in order of rising 2θ, 2θ from 5° to 70°:
hkl 0 2 0, 7.98°, I 20
hkl 0 6 0, 24.10°, I 16
hkl 2 1 1, 25.01°, I 30
hkl 2 5 1, 31.99°, I 100
hkl 4 0 0, 34.74°, I 33
hkl 0 0 2, 35.62°, I 28
hkl 0 10 0, 40.72°, I 20
hkl 4 0 2, 50.60°, I 23
hkl 2 11 1, 51.99°, I 17
hkl 6 5 1, 60.55°, I 17